Theoretical X-ray powder pattern
Compound: Cs2SiRhI6
Radiation: Cu Kα X-rays
Structure: the GGA-PBE geometry in Alexandria
No peak broadening, texture or thermal motion is included.

Atomic structure:
a b c (Å): 8.101 8.101 8.101
angles (deg): 120.10 120.10 89.82
Atoms (fractional coordinates):
Cs (0.250, 0.750, 0.500)
Cs (0.750, 0.250, 0.500)
Si (0.000, 0.000, 0.000)
Rh (0.500, 0.500, 0.000)
I (0.256, 0.256, 0.513)
I (0.256, 0.744, 0.000)
I (0.257, 0.257, 0.000)
I (0.743, 0.743, 0.000)
I (0.744, 0.256, 0.000)
I (0.744, 0.744, 0.487)

Principal peaks in the range 2θ from 10° to 80°, by angle:
d [Å]  2θ (°)  I (rel.)
3.306  26.97  100.0
2.863  31.24  87.5
2.024  44.77  63.3
1.729  52.96  14.8
1.725  53.09  29.5
1.653  55.60  21.9
1.314  71.84  11.8
1.279  74.11  18.5